1.
# Na2In4Pb3
Theoretical PXRD pattern, Cu Kα, 1.54184 Å. Input: a structure optimized by DFT (GGA-PBE).
Intensities are scaled so that the largest is 100.

Main lines, low angle first (5° ≤ 2θ ≤ 70°):
21.20 deg, rel. 34
31.86 deg, rel. 100
32.29 deg, rel. 96
36.94 deg, rel. 35
37.27 deg, rel. 33
37.41 deg, rel. 32
53.48 deg, rel. 23
63.81 deg, rel. 27

Structural model:
```
Na2In4Pb3
1.0
5.431 -2.413 0.000
5.431 2.413 0.000
-3.051 0.000 9.695
Na In Pb
2 4 3
Direct
0.161 0.161 0.221
0.839 0.839 0.779
0.170 0.170 0.894
0.497 0.497 0.333
0.503 0.503 0.667
0.830 0.830 0.106
0.166 0.166 0.563
0.500 0.500 0.000
0.834 0.834 0.437
```

2.
# NaInPb
Theoretical PXRD pattern, Cu Kα, 1.54184 Å. Input: a structure optimized by DFT (GGA-PBE).
Intensities are scaled so that the largest is 100.

Main lines, low angle first (5° ≤ 2θ ≤ 70°):
23.33 deg, rel. 95
33.05 deg, rel. 100
33.41 deg, rel. 87
40.85 deg, rel. 23
47.70 deg, rel. 32
59.17 deg, rel. 17
59.29 deg, rel. 22
66.86 deg, rel. 26

Structural model:
```
NaInPb
1.0
5.428 0.000 0.000
0.000 9.375 0.000
0.000 0.000 6.536
Na In Pb
4 4 4
Direct
0.000 0.168 0.250
0.000 0.832 0.750
0.500 0.332 0.750
0.500 0.668 0.250
0.000 0.500 0.000
0.000 0.500 0.500
0.500 0.000 0.000
0.500 0.000 0.500
0.000 0.166 0.750
0.000 0.834 0.250
0.500 0.334 0.250
0.500 0.666 0.750
```

3.
# NaIn2Pb9
Theoretical PXRD pattern, Cu Kα, 1.54184 Å. Input: a structure optimized by DFT (GGA-PBE).
Intensities are scaled so that the largest is 100.

Main lines, low angle first (5° ≤ 2θ ≤ 70°):
31.25 deg, rel. 100
35.73 deg, rel. 18
36.49 deg, rel. 33
52.00 deg, rel. 25
52.56 deg, rel. 12
61.42 deg, rel. 15
62.43 deg, rel. 29
65.19 deg, rel. 13

Structural model:
```
NaIn2Pb9
1.0
4.925 0.000 0.000
0.000 4.925 0.000
0.000 0.000 15.076
Na In Pb
1 2 9
Direct
0.000 0.000 0.000
0.000 0.000 0.333
0.000 0.000 0.667
0.000 0.500 0.165
0.000 0.500 0.500
0.000 0.500 0.835
0.500 0.000 0.165
0.500 0.000 0.500
0.500 0.000 0.835
0.500 0.500 0.000
0.500 0.500 0.331
0.500 0.500 0.669
```

4.
# Na2In4SnPb2
Theoretical PXRD pattern, Cu Kα, 1.54184 Å. Input: a structure optimized by DFT (GGA-PBE).
Intensities are scaled so that the largest is 100.

Main lines, low angle first (5° ≤ 2θ ≤ 70°):
24.52 deg, rel. 74
30.25 deg, rel. 100
34.59 deg, rel. 33
35.31 deg, rel. 54
43.46 deg, rel. 24
50.26 deg, rel. 38
60.27 deg, rel. 18
62.91 deg, rel. 16

Structural model:
```
Na2In4SnPb2
1.0
-3.595 3.595 5.187
3.595 -3.595 5.187
3.595 3.595 -5.187
Na In Sn Pb
2 4 1 2
Direct
0.221 0.221 0.000
0.779 0.779 0.000
0.216 0.216 0.432
0.216 0.784 0.000
0.784 0.216 0.000
0.784 0.784 0.568
0.500 0.500 0.000
0.250 0.750 0.500
0.750 0.250 0.500
```

5.
# NaInTe2Pb
Theoretical PXRD pattern, Cu Kα, 1.54184 Å. Input: a structure optimized by DFT (GGA-PBE).
Intensities are scaled so that the largest is 100.

Main lines, low angle first (5° ≤ 2θ ≤ 70°):
22.60 deg, rel. 100
27.29 deg, rel. 93
30.47 deg, rel. 96
33.79 deg, rel. 37
38.27 deg, rel. 53
43.63 deg, rel. 36
46.14 deg, rel. 61
56.30 deg, rel. 34

Structural model:
```
NaInTe2Pb
1.0
5.867 0.000 0.000
0.000 5.867 0.000
0.000 0.000 5.305
Na In Te Pb
1 1 2 1
Direct
0.000 0.000 0.000
0.000 0.000 0.500
0.000 0.500 0.500
0.500 0.000 0.500
0.500 0.500 0.000
```

6.
# Na2Tl4In2Pb
Theoretical PXRD pattern, Cu Kα, 1.54184 Å. Input: a structure optimized by DFT (GGA-PBE).
Intensities are scaled so that the largest is 100.

Main lines, low angle first (5° ≤ 2θ ≤ 70°):
13.39 deg, rel. 34
24.52 deg, rel. 23
32.26 deg, rel. 100
32.53 deg, rel. 98
33.13 deg, rel. 47
33.82 deg, rel. 43
44.83 deg, rel. 21
56.86 deg, rel. 21

Structural model:
```
Na2Tl4In2Pb
1.0
7.952 -2.022 0.000
7.952 2.022 0.000
-2.530 0.000 8.112
Na Tl In Pb
2 4 2 1
Direct
0.117 0.117 0.168
0.883 0.883 0.832
0.217 0.217 0.827
0.451 0.451 0.166
0.549 0.549 0.834
0.783 0.783 0.173
0.331 0.331 0.502
0.669 0.669 0.498
0.000 0.000 0.500
```

7.
# NaTl2In5Pb
Theoretical PXRD pattern, Cu Kα, 1.54184 Å. Input: a structure optimized by DFT (GGA-PBE).
Intensities are scaled so that the largest is 100.

Main lines, low angle first (5° ≤ 2θ ≤ 70°):
32.18 deg, rel. 100
34.44 deg, rel. 21
38.42 deg, rel. 15
38.99 deg, rel. 15
52.54 deg, rel. 13
52.99 deg, rel. 13
60.28 deg, rel. 16
66.37 deg, rel. 12

Structural model:
```
NaTl2In5Pb
1.0
2.310 -7.812 0.000
2.310 7.812 0.000
0.000 0.000 14.057
Na Tl In Pb
2 4 10 2
Direct
0.083 0.917 0.500
0.917 0.083 0.000
0.415 0.585 0.830
0.421 0.579 0.502
0.579 0.421 0.002
0.585 0.415 0.330
0.082 0.918 0.168
0.085 0.915 0.831
0.248 0.752 0.674
0.254 0.746 0.331
0.416 0.584 0.172
0.584 0.416 0.672
0.746 0.254 0.831
0.752 0.248 0.174
0.915 0.085 0.331
0.918 0.082 0.668
0.250 0.750 0.007
0.750 0.250 0.507
```

8.
# Na2Tl6InPb
Theoretical PXRD pattern, Cu Kα, 1.54184 Å. Input: a structure optimized by DFT (GGA-PBE).
Intensities are scaled so that the largest is 100.

Main lines, low angle first (5° ≤ 2θ ≤ 70°):
23.70 deg, rel. 69
30.54 deg, rel. 54
31.22 deg, rel. 67
32.64 deg, rel. 88
33.04 deg, rel. 60
33.16 deg, rel. 100
33.45 deg, rel. 54
33.62 deg, rel. 68

Structural model:
```
Na2Tl6InPb
1.0
8.252 0.000 0.000
0.000 8.447 0.000
-7.145 0.000 8.702
Na Tl In Pb
4 12 2 2
Direct
0.231 0.169 0.430
0.231 0.331 0.930
0.769 0.669 0.070
0.769 0.831 0.570
0.104 0.118 0.646
0.104 0.382 0.146
0.254 0.692 0.820
0.254 0.808 0.320
0.485 0.632 0.200
0.485 0.868 0.700
0.515 0.132 0.300
0.515 0.368 0.800
0.746 0.192 0.680
0.746 0.308 0.180
0.896 0.618 0.854
0.896 0.882 0.354
0.500 0.000 0.000
0.500 0.500 0.500
0.000 0.000 0.000
0.000 0.500 0.500
```